Computed X-ray powder pattern
Compound: KLi4S2I
Radiation: CuKα
Structure: the GGA-PBE geometry in Alexandria

a = 4.2169 Å, b = 4.2169 Å, c = 10.3916 Å
α = 90.00°, β = 90.00°, γ = 90.00°
Space group P4/mmm (No. 123)
Symmetry-distinct sites (fractional):
K 0.0000 0.0000 0.0000
Li 0.0000 0.5000 0.3011
S 0.5000 0.5000 0.2018
I 0.0000 0.0000 0.5000

Top 8 peaks for 2θ = 10–80°, most intense first:
- hkl 1 0 2, 2θ 27.24, d 3.274, I = 100
- hkl 1 1 0, 2θ 29.97, d 2.982, I = 36
- hkl 1 0 1, 2θ 22.76, d 3.907, I = 34
- hkl 2 1 2, 2θ 51.56, d 1.773, I = 31
- hkl 2 0 0, 2θ 42.89, d 2.108, I = 18
- hkl 1 0 0, 2θ 21.07, d 4.217, I = 18
- hkl 1 1 2, 2θ 34.69, d 2.586, I = 17
- hkl 1 1 3, 2θ 39.89, d 2.260, I = 17

---

Computed X-ray powder pattern
Compound: KLiSb2I
Radiation: CuKα
Structure: the GGA-PBE geometry in Alexandria

a = 4.9812 Å, b = 4.9812 Å, c = 6.9916 Å
α = 90.00°, β = 90.00°, γ = 90.00°
Space group P4/mmm (No. 123)
Symmetry-distinct sites (fractional):
K 0.0000 0.0000 0.0000
Li 0.5000 0.5000 0.5000
Sb 0.0000 0.5000 0.5000
I 0.5000 0.5000 0.0000

Top 8 peaks for 2θ = 10–80°, most intense first:
- hkl 1 1 1, 2θ 28.37, d 3.146, I = 100
- hkl 0 0 2, 2θ 25.48, d 3.496, I = 35
- hkl 2 0 2, 2θ 44.67, d 2.028, I = 30
- hkl 2 0 0, 2θ 36.06, d 2.491, I = 28
- hkl 1 1 3, 2θ 46.74, d 1.944, I = 25
- hkl 3 1 1, 2θ 60.22, d 1.537, I = 23
- hkl 2 2 2, 2θ 58.70, d 1.573, I = 13
- hkl 3 1 3, 2θ 72.42, d 1.305, I = 13

---

Computed X-ray powder pattern
Compound: KLiTeI6
Radiation: CuKα
Structure: the GGA-PBE geometry in Alexandria

a = 7.7001 Å, b = 7.7001 Å, c = 7.8544 Å
α = 90.00°, β = 90.00°, γ = 120.00°
Space group P312 (No. 149)
Symmetry-distinct sites (fractional):
K 0.0000 0.0000 0.0000
Li 0.3333 0.6667 0.5000
Te 0.6667 0.3333 0.5000
I 0.0002 0.3698 0.7188

Top 8 peaks for 2θ = 10–80°, most intense first:
- hkl 2 -1 1, 2θ 25.77, d 3.457, I = 100
- hkl 2 -1 2, 2θ 32.57, d 2.749, I = 46
- hkl 3 0 0, 2θ 40.59, d 2.223, I = 26
- hkl 1 1 3, 2θ 41.72, d 2.165, I = 26
- hkl 1 0 1, 2θ 17.45, d 5.083, I = 18
- hkl 0 0 2, 2θ 22.64, d 3.927, I = 17
- hkl 0 0 1, 2θ 11.27, d 7.854, I = 17
- hkl 1 0 0, 2θ 13.28, d 6.669, I = 15

---

Q: Which formula does entry 3 have?
A: KLiTeI6

---

Q: What is the formula in the third record?
A: KLiTeI6